No. 1
BaSrTbWO6: simulated powder diffraction line list (Cu Kα (weighted mean of Kα1 and Kα2)), based on a structure optimized by DFT (GGA+U).

Structure:
Unit cell a=8.426 b=8.449 c=8.493 alpha=90.00 beta=90.00 gamma=90.00
Space group Pnnn (No. 48, origin choice 2)
One atom of each set of equivalent atoms:
Ba 0.250 0.250 0.250 [2 per cell]
Ba 0.250 0.250 0.750 [2 per cell]
Sr 0.250 0.750 0.250 [2 per cell]
Sr 0.250 0.750 0.750 [2 per cell]
Tb 0.000 0.000 0.000 [4 per cell]
W 0.000 0.000 0.500 [4 per cell]
O 0.031 0.531 0.237 [8 per cell]
O 0.032 0.734 0.969 [8 per cell]
O 0.235 0.023 0.527 [8 per cell]

Peak list (8 most intense, 2θ = 5–70°, in order of rising 2θ)
2theta  I (rel.)  (hkl)
29.85  100  0 2 2
29.95  49  2 2 0
42.58  14  0 0 4
42.81  14  0 4 0
42.93  13  4 0 0
52.93  21  2 2 4
53.12  43  4 2 2
62.02  17  0 4 4



No. 2
FeOF: simulated powder diffraction line list (Cu Kα (weighted mean of Kα1 and Kα2)), based on a structure optimized by DFT (GGA+U).

Structure:
Unit cell a=14.123 b=3.098 c=14.134 alpha=90.00 beta=90.03 gamma=90.00
Space group Pm (No. 6)
One atom of each set of equivalent atoms:
Fe 0.000 0.000 0.000 [1 per cell]
Fe 0.001 0.000 0.325 [1 per cell]
Fe 0.148 0.500 0.161 [1 per cell]
Fe 0.164 0.500 0.807 [1 per cell]
Fe 0.182 0.500 0.500 [1 per cell]
Fe 0.326 0.000 0.661 [1 per cell]
Fe 0.327 0.000 0.333 [1 per cell]
Fe 0.333 0.000 0.999 [1 per cell]
Fe 0.485 0.500 0.808 [1 per cell]
Fe 0.495 0.500 0.475 [1 per cell]
Fe 0.504 0.500 0.139 [1 per cell]
Fe 0.668 0.000 0.338 [1 per cell]
Fe 0.673 0.000 0.989 [1 per cell]
Fe 0.676 0.000 0.657 [1 per cell]
Fe 0.825 0.500 0.821 [1 per cell]
Fe 0.831 0.500 0.140 [1 per cell]
Fe 0.839 0.500 0.473 [1 per cell]
Fe 0.991 0.000 0.671 [1 per cell]
O 0.061 0.500 0.265 [1 per cell]
O 0.097 0.000 0.093 [1 per cell]
O 0.100 0.000 0.759 [1 per cell]
O 0.236 0.000 0.562 [1 per cell]
O 0.264 0.500 0.386 [1 per cell]
O 0.272 0.500 0.724 [1 per cell]
O 0.429 0.000 0.088 [1 per cell]
O 0.429 0.000 0.752 [1 per cell]
O 0.433 0.000 0.424 [1 per cell]
O 0.598 0.500 0.046 [1 per cell]
O 0.603 0.500 0.391 [1 per cell]
O 0.730 0.500 0.918 [1 per cell]
O 0.764 0.000 0.753 [1 per cell]
O 0.768 0.000 0.091 [1 per cell]
O 0.773 0.000 0.421 [1 per cell]
O 0.928 0.500 0.724 [1 per cell]
O 0.938 0.500 0.056 [1 per cell]
O 0.942 0.500 0.384 [1 per cell]
F 0.062 0.500 0.591 [1 per cell]
F 0.071 0.500 0.925 [1 per cell]
F 0.104 0.000 0.435 [1 per cell]
F 0.232 0.000 0.218 [1 per cell]
F 0.235 0.000 0.896 [1 per cell]
F 0.264 0.500 0.054 [1 per cell]
F 0.392 0.500 0.923 [1 per cell]
F 0.397 0.500 0.254 [1 per cell]
F 0.401 0.500 0.593 [1 per cell]
F 0.554 0.000 0.876 [1 per cell]
F 0.564 0.000 0.219 [1 per cell]
F 0.568 0.000 0.559 [1 per cell]
F 0.598 0.500 0.714 [1 per cell]
F 0.729 0.500 0.256 [1 per cell]
F 0.730 0.500 0.586 [1 per cell]
F 0.893 0.000 0.222 [1 per cell]
F 0.900 0.000 0.890 [1 per cell]
F 0.901 0.000 0.556 [1 per cell]

Peak list (8 most intense, 2θ = 5–70°, in order of rising 2θ)
2theta  I (rel.)  (hkl)
26.77  100  3 0 -3
34.66  56  3 1 0
39.74  19  3 1 -3
52.54  57  6 1 -3
55.16  16  6 0 6
59.69  10  0 2 0
66.58  12  3 2 -3
66.81  19  9 1 0



No. 3
Li4Cr3NiO8: simulated powder diffraction line list (Cu Kα (weighted mean of Kα1 and Kα2)), based on a structure optimized by DFT (GGA+U).

Structure:
Unit cell a=5.110 b=5.891 c=10.206 alpha=89.83 beta=80.39 gamma=73.00
Space group P-1 (No. 2)
One atom of each set of equivalent atoms:
Li 0.000 0.000 0.000 [1 per cell]
Li 0.000 0.000 0.500 [1 per cell]
Li 0.000 0.500 0.000 [1 per cell]
Li 0.000 0.500 0.500 [1 per cell]
Li 0.001 0.255 0.246 [2 per cell]
Li 0.004 0.743 0.250 [2 per cell]
Cr 0.499 0.126 0.374 [2 per cell]
Cr 0.500 0.129 0.878 [2 per cell]
Cr 0.500 0.376 0.627 [2 per cell]
Ni 0.499 0.375 0.125 [2 per cell]
O 0.267 0.175 0.057 [2 per cell]
O 0.267 0.425 0.809 [2 per cell]
O 0.270 0.435 0.315 [2 per cell]
O 0.274 0.682 0.561 [2 per cell]
O 0.274 0.931 0.309 [2 per cell]
O 0.276 0.181 0.560 [2 per cell]
O 0.277 0.686 0.064 [2 per cell]
O 0.279 0.935 0.811 [2 per cell]

Peak list (8 most intense, 2θ = 5–70°, in order of rising 2θ)
2theta  I (rel.)  (hkl)
18.44  100  1 0 0
35.71  28  1 2 2
35.81  14  0 2 -2
37.38  17  2 0 0
43.38  54  1 0 -4
43.56  27  1 -2 2
63.05  21  1 2 6
63.17  22  0 2 -6